Calculated powder diffractogram
Compound: CsLiMg14
Radiation: copper Kα
Structure: a cell relaxed with GGA-PBE
Neutral-atom scattering factors, no anomalous dispersion.

Peak list (8 most intense, 2θ = 10–90°, by angle)
d/Å  2θ (°)  I_rel
5.617  15.78  29.7
4.992  17.77  48.2
3.909  22.75  31.4
2.810  31.84  38.6
2.721  32.91  46.8
2.537  35.38  54.6
2.496  35.98  100.0
1.524  60.77  20.4

Structural model:
Cell: 10.8862 6.5777 6.5777 Å, 58.64 90.00 90.00°
Positions (direct):
Cs: 0.0000 0.0000 0.0000
Li: 0.0000 0.4970 0.4970
Mg: 0.0000 0.9997 0.4973
Mg: 0.0000 0.4973 0.9997
Mg: 0.2469 0.6634 0.6634
Mg: 0.2679 0.1699 0.1699
Mg: 0.2692 0.1683 0.6532
Mg: 0.2692 0.6532 0.1683
Mg: 0.5000 0.4995 0.4995
Mg: 0.5000 0.4990 0.9961
Mg: 0.5000 0.9961 0.4990
Mg: 0.5000 0.9987 0.9987
Mg: 0.7308 0.1683 0.6532
Mg: 0.7308 0.6532 0.1683
Mg: 0.7321 0.1699 0.1699
Mg: 0.7531 0.6634 0.6634